Starting from a crystal structure in Alexandria, relaxed with GGA-PBE, the PXRD pattern of CuNiHRuCSe was simulated for CuKα.
Peak positions follow from Bragg's law for the DFT cell and can differ from measured ones.

Largest 10 diffraction maxima, in order of rising 2θ, 10° ≤ 2θ ≤ 90°:
hkl, d_spacing, I_rel
2 0 -1, 3.624, 19
4 0 0, 2.854, 24
3 1 0, 2.470, 29
1 1 1, 2.270, 100
4 0 1, 1.960, 21
2 0 -2, 1.911, 21
5 1 0, 1.868, 12
0 2 0, 1.623, 12
5 1 -2, 1.511, 12
2 2 -2, 1.237, 12

```
data_CuNiHRuCSe
_cell_length_a 12.031
_cell_length_b 3.247
_cell_length_c 3.821
_cell_angle_alpha 90.00
_cell_angle_beta 108.39
_cell_angle_gamma 90.00
_space_group_name_H-M_alt 'C 1 m 1'
_space_group_IT_number 8
loop_
_space_group_symop_operation_xyz
'x,y,z'
'x,-y,z'
'x+1/2,y+1/2,z'
'x+1/2,-y+1/2,z'
loop_
_atom_site_label
_atom_site_type_symbol
_atom_site_fract_x
_atom_site_fract_y
_atom_site_fract_z
_atom_site_occupancy
Cu1 Cu 0.000 0.000 0.000 1
Ni1 Ni 0.332 0.500 0.332 1
H1 H 0.108 0.500 0.108 1
Ru1 Ru 0.095 0.500 0.594 1
C1 C 0.497 0.500 0.497 1
Se1 Se 0.285 0.000 0.786 1
```